1.
For Cs2MgZnAs2, a DFT-relaxed cell (GGA-PBE, Alexandria) gives the theoretical powder X-ray diffraction pattern in this record (λ = 1.5418 Å (Cu Kα)).
Lines closer than 0.1° are merged.

Largest 10 diffraction maxima, low angle first, 5° ≤ 2θ ≤ 70°:
index, 2θ/deg, I (rel.)
1 4 1, 27.69, 100
2 0 0, 27.80, 15
0 6 0, 29.38, 11
0 4 2, 34.03, 14
2 4 0, 34.19, 14
2 0 2, 39.59, 32
1 8 1, 44.49, 19
1 4 3, 48.91, 25
3 4 1, 49.11, 24
0 12 0, 60.99, 11

Crystal structure
```
data_Cs2MgZnAs2
_cell_length_a 6.4172
_cell_length_b 18.2133
_cell_length_c 6.4609
_cell_angle_alpha 90.00
_cell_angle_beta 90.00
_cell_angle_gamma 90.00
_space_group_name_H-M_alt 'I b a m'
_space_group_IT_number 72
_space_group_name_Hall '-I 2 2c'
loop_
_atom_site_label
_atom_site_fract_x
_atom_site_fract_y
_atom_site_fract_z
Cs1 0.2461 0.1683 0.0000
Mg1 0.0000 0.5000 0.2500
Zn1 0.0000 0.0000 0.2500
As1 0.2401 0.0796 0.5000
```

***

2.
For Cs5NaAs2, a DFT-relaxed cell (GGA-PBE, Alexandria) gives the theoretical powder X-ray diffraction pattern in this record (λ = 1.5418 Å (Cu Kα)).
Lines closer than 0.1° are merged.

Largest 10 diffraction maxima, low angle first, 5° ≤ 2θ ≤ 70°:
index, 2θ/deg, I (rel.)
1 0 4, 22.82, 41
1 0 5, 25.98, 53
1 1 0, 27.58, 100
2 0 4, 36.09, 12
2 0 5, 38.25, 19
1 1 8, 43.56, 14
2 1 4, 46.01, 12
2 1 5, 47.80, 20
3 0 0, 48.76, 20
2 2 0, 56.94, 13

Crystal structure
```
data_Cs5NaAs2
_cell_length_a 6.4693
_cell_length_b 6.4693
_cell_length_c 21.6902
_cell_angle_alpha 90.00
_cell_angle_beta 90.00
_cell_angle_gamma 120.00
_space_group_name_H-M_alt 'P 63/m m c'
_space_group_IT_number 194
_space_group_name_Hall '-P 6c 2c'
loop_
_atom_site_label
_atom_site_fract_x
_atom_site_fract_y
_atom_site_fract_z
Cs1 0.0000 0.0000 0.1301
Cs2 0.3333 0.6667 0.0502
Cs3 0.3333 0.6667 0.2500
Na1 0.3333 0.6667 0.7500
As1 0.3333 0.6667 0.6205
```

***

3.
For CsNaTl2As2, a DFT-relaxed cell (GGA-PBE, Alexandria) gives the theoretical powder X-ray diffraction pattern in this record (λ = 1.5418 Å (Cu Kα)).
Lines closer than 0.1° are merged.

Largest 10 diffraction maxima, low angle first, 5° ≤ 2θ ≤ 70°:
index, 2θ/deg, I (rel.)
0 0 1, 10.47, 37
1 0 1, 22.59, 99
0 1 2, 29.15, 91
0 0 3, 31.77, 29
1 1 0, 34.93, 100
0 1 3, 37.80, 24
0 2 1, 42.00, 20
2 0 2, 46.12, 26
1 1 3, 47.93, 56
1 2 2, 59.13, 25

Crystal structure
```
data_CsNaTl2As2
_cell_length_a 5.1372
_cell_length_b 5.1372
_cell_length_c 8.4499
_cell_angle_alpha 90.00
_cell_angle_beta 90.00
_cell_angle_gamma 120.00
_space_group_name_H-M_alt 'P -3 m 1'
_space_group_IT_number 164
_space_group_name_Hall '-P 3 2"'
loop_
_atom_site_label
_atom_site_fract_x
_atom_site_fract_y
_atom_site_fract_z
Cs1 0.0000 0.0000 0.0000
Na1 0.0000 0.0000 0.5000
Tl1 0.3333 0.6667 0.6439
As1 0.3333 0.6667 0.2936
```

***

4.
For Cs2NdAsSe4, a DFT-relaxed cell (GGA-PBE, Alexandria) gives the theoretical powder X-ray diffraction pattern in this record (λ = 1.5418 Å (Cu Kα)).
Lines closer than 0.1° are merged.

Largest 10 diffraction maxima, low angle first, 5° ≤ 2θ ≤ 70°:
index, 2θ/deg, I (rel.)
0 2 2, 24.04, 13
2 2 0, 27.84, 100
0 4 0, 39.66, 10
2 2 4, 39.78, 45
4 0 0, 39.90, 12
2 4 2, 46.98, 10
0 4 4, 49.15, 10
4 0 4, 49.35, 12
4 4 0, 57.51, 9
4 4 4, 65.08, 15

Crystal structure
```
data_Cs2NdAsSe4
_cell_length_a 9.0382
_cell_length_b 9.0902
_cell_length_c 12.8207
_cell_angle_alpha 90.00
_cell_angle_beta 90.00
_cell_angle_gamma 90.00
_space_group_name_H-M_alt 'I m m a'
_space_group_IT_number 74
_space_group_name_Hall '-I 2b 2'
loop_
_atom_site_label
_atom_site_fract_x
_atom_site_fract_y
_atom_site_fract_z
Cs1 0.0000 0.0000 0.0000
Cs2 0.2500 0.2500 0.2500
Nd1 0.0000 0.0000 0.5000
As1 0.2500 0.2500 0.7500
Se1 0.0000 0.0523 0.7338
Se2 0.2150 0.2500 0.5280
```

***

5.
For Cs3Ni2As4, a DFT-relaxed cell (GGA-PBE, Alexandria) gives the theoretical powder X-ray diffraction pattern in this record (λ = 1.5418 Å (Cu Kα)).
Lines closer than 0.1° are merged.

Largest 10 diffraction maxima, low angle first, 5° ≤ 2θ ≤ 70°:
index, 2θ/deg, I (rel.)
1 1 1, 25.34, 100
4 0 -1, 25.78, 78
2 0 -3, 27.86, 83
3 1 0, 29.66, 38
3 1 -2, 32.41, 84
3 1 1, 32.60, 42
0 2 0, 44.65, 35
1 1 4, 45.96, 41
4 2 -1, 52.27, 32
2 2 -3, 53.45, 28

Crystal structure
```
data_Cs3Ni2As4
_cell_length_a 13.9087
_cell_length_b 4.0591
_cell_length_c 9.8673
_cell_angle_alpha 90.00
_cell_angle_beta 104.23
_cell_angle_gamma 90.00
_space_group_name_H-M_alt 'C 1 2/m 1'
_space_group_IT_number 12
loop_
_space_group_symop_operation_xyz
'x,y,z'
'-x,-y,-z'
'-x,y,-z'
'x,-y,z'
'x+1/2,y+1/2,z'
'-x+1/2,-y+1/2,-z'
'-x+1/2,y+1/2,-z'
'x+1/2,-y+1/2,z'
loop_
_atom_site_label
_atom_site_fract_x
_atom_site_fract_y
_atom_site_fract_z
Cs1 0.0000 0.0000 0.0000
Cs2 0.1108 0.5000 0.3981
Ni1 0.1940 0.5000 0.8385
As1 0.1286 0.0000 0.7100
As2 0.2172 0.5000 0.0893
```

***

6.
For Cs2As2O5, a DFT-relaxed cell (GGA-PBE, Alexandria) gives the theoretical powder X-ray diffraction pattern in this record (λ = 1.5418 Å (Cu Kα)).
Lines closer than 0.1° are merged.

Largest 10 diffraction maxima, low angle first, 5° ≤ 2θ ≤ 70°:
index, 2θ/deg, I (rel.)
2 0 1, 21.94, 18
2 0 -2, 26.34, 51
1 1 1, 26.69, 100
4 0 0, 30.67, 28
3 1 -1, 31.73, 54
2 0 2, 32.65, 27
0 0 3, 38.34, 13
0 2 0, 42.97, 21
1 1 -3, 43.21, 17
2 2 -2, 51.10, 16

Crystal structure
```
data_Cs2As2O5
_cell_length_a 11.9896
_cell_length_b 4.2098
_cell_length_c 7.2434
_cell_angle_alpha 90.00
_cell_angle_beta 103.50
_cell_angle_gamma 90.00
_space_group_name_H-M_alt 'C 1 2/m 1'
_space_group_IT_number 12
loop_
_space_group_symop_operation_xyz
'x,y,z'
'-x,-y,-z'
'-x,y,-z'
'x,-y,z'
'x+1/2,y+1/2,z'
'-x+1/2,-y+1/2,-z'
'-x+1/2,y+1/2,-z'
'x+1/2,-y+1/2,z'
loop_
_atom_site_label
_atom_site_fract_x
_atom_site_fract_y
_atom_site_fract_z
Cs1 0.1020 0.0000 0.3466
As1 0.1509 0.5000 0.9197
O1 0.0000 0.5000 0.0000
O2 0.1311 0.5000 0.6780
O3 0.1900 0.0000 0.9706
```

***

7.
For Cs3AsO4, a DFT-relaxed cell (GGA-PBE, Alexandria) gives the theoretical powder X-ray diffraction pattern in this record (λ = 1.5418 Å (Cu Kα)).
Lines closer than 0.1° are merged.

Largest 10 diffraction maxima, low angle first, 5° ≤ 2θ ≤ 70°:
index, 2θ/deg, I (rel.)
2 2 0, 23.86, 10
0 0 2, 26.46, 12
2 2 1, 27.34, 100
4 0 0, 28.06, 16
1 1 2, 29.08, 10
4 0 1, 31.10, 13
0 4 0, 39.13, 14
6 2 0, 47.21, 9
5 2 2, 49.04, 9
2 6 1, 63.91, 9

Crystal structure
```
data_Cs3AsO4
_cell_length_a 12.7178
_cell_length_b 9.2085
_cell_length_c 6.7378
_cell_angle_alpha 90.00
_cell_angle_beta 90.00
_cell_angle_gamma 90.00
_space_group_name_H-M_alt 'P n m a'
_space_group_IT_number 62
loop_
_space_group_symop_operation_xyz
'x,y,z'
'-x,-y,-z'
'-x+1/2,-y,z+1/2'
'x+1/2,y,-z+1/2'
'x+1/2,-y+1/2,-z+1/2'
'-x+1/2,y+1/2,z+1/2'
'-x,y+1/2,-z'
'x,-y+1/2,z'
loop_
_atom_site_label
_atom_site_fract_x
_atom_site_fract_y
_atom_site_fract_z
Cs1 0.0736 0.2500 0.1417
Cs2 0.1460 0.0084 0.6902
As1 0.1138 0.7500 0.2765
O1 0.0079 0.7500 0.4403
O2 0.1085 0.5954 0.1295
O3 0.2294 0.7500 0.4145
```

***

8.
For CsAsOs2O8, a DFT-relaxed cell (GGA-PBE, Alexandria) gives the theoretical powder X-ray diffraction pattern in this record (λ = 1.5418 Å (Cu Kα)).
Lines closer than 0.1° are merged.

Largest 10 diffraction maxima, low angle first, 5° ≤ 2θ ≤ 70°:
index, 2θ/deg, I (rel.)
0 1 2, 20.32, 13
1 0 4, 22.82, 100
0 0 9, 26.89, 9
0 1 8, 30.95, 29
1 1 0, 33.97, 34
0 2 4, 41.31, 18
2 0 8, 46.60, 11
1 1 12, 50.43, 12
2 1 4, 54.51, 18
1 2 8, 58.91, 10

Crystal structure
```
data_CsAsOs2O8
_cell_length_a 5.2787
_cell_length_b 5.2787
_cell_length_c 29.8352
_cell_angle_alpha 90.00
_cell_angle_beta 90.00
_cell_angle_gamma 120.00
_space_group_name_H-M_alt 'R 3 2'
_space_group_IT_number 155
_space_group_name_Hall 'R 3 2"'
loop_
_atom_site_label
_atom_site_fract_x
_atom_site_fract_y
_atom_site_fract_z
Cs1 0.0000 0.0000 0.0000
As1 0.0000 0.0000 0.5000
Os1 0.0000 0.0000 0.2366
O1 0.0000 0.0000 0.2959
O2 0.0014 0.3732 0.1205
```

***

9.
For CsPrAsO4, a DFT-relaxed cell (GGA-PBE, Alexandria) gives the theoretical powder X-ray diffraction pattern in this record (λ = 1.5418 Å (Cu Kα)).
Lines closer than 0.1° are merged.

Largest 10 diffraction maxima, low angle first, 5° ≤ 2θ ≤ 70°:
index, 2θ/deg, I (rel.)
1 1 1, 16.36, 47
2 2 0, 26.88, 100
3 1 1, 31.63, 20
4 0 0, 38.37, 13
3 3 1, 41.97, 15
4 2 2, 47.47, 41
5 1 1, 50.54, 8
4 4 0, 55.39, 17
5 3 1, 58.17, 9
6 2 0, 62.61, 18

Crystal structure
```
data_CsPrAsO4
_cell_length_a 9.3831
_cell_length_b 9.3831
_cell_length_c 9.3831
_cell_angle_alpha 90.00
_cell_angle_beta 90.00
_cell_angle_gamma 90.00
_space_group_name_H-M_alt 'F -4 3 m'
_space_group_IT_number 216
_space_group_name_Hall 'F -4 2 3'
loop_
_atom_site_label
_atom_site_fract_x
_atom_site_fract_y
_atom_site_fract_z
Cs1 0.0000 0.0000 0.0000
Pr1 0.2500 0.2500 0.7500
As1 0.0000 0.0000 0.5000
O1 0.1124 0.1124 0.6124
```

***

10.
For CsTaAs2O8, a DFT-relaxed cell (GGA-PBE, Alexandria) gives the theoretical powder X-ray diffraction pattern in this record (λ = 1.5418 Å (Cu Kα)).
Lines closer than 0.1° are merged.

Largest 10 diffraction maxima, low angle first, 5° ≤ 2θ ≤ 70°:
index, 2θ/deg, I (rel.)
0 0 3, 9.31, 27
1 0 4, 23.22, 100
0 1 8, 31.93, 25
1 1 0, 34.18, 32
1 0 10, 37.25, 10
0 2 4, 41.73, 15
2 0 8, 47.47, 11
1 1 12, 51.95, 11
3 -1 4, 55.00, 17
3 0 0, 61.17, 12

Crystal structure
```
data_CsTaAs2O8
_cell_length_a 5.2471
_cell_length_b 5.2471
_cell_length_c 28.4872
_cell_angle_alpha 90.00
_cell_angle_beta 90.00
_cell_angle_gamma 120.00
_space_group_name_H-M_alt 'R -3'
_space_group_IT_number 148
_space_group_name_Hall '-R 3'
loop_
_atom_site_label
_atom_site_fract_x
_atom_site_fract_y
_atom_site_fract_z
Cs1 0.0000 0.0000 0.0000
Ta1 0.0000 0.0000 0.5000
As1 0.0000 0.0000 0.2306
O1 0.0000 0.0000 0.2889
O2 0.0014 0.6042 0.8739
```

***

11.
For Cs3TlAs2O8, a DFT-relaxed cell (GGA-PBE, Alexandria) gives the theoretical powder X-ray diffraction pattern in this record (λ = 1.5418 Å (Cu Kα)).
Lines closer than 0.1° are merged.

Largest 10 diffraction maxima, low angle first, 5° ≤ 2θ ≤ 70°:
index, 2θ/deg, I (rel.)
1 0 2, 26.38, 100
1 1 0, 29.68, 75
0 2 2, 40.12, 35
2 1 2, 50.69, 33
1 1 4, 51.15, 26
3 0 0, 52.67, 15
2 2 0, 61.63, 12
1 0 6, 65.62, 8
1 3 2, 68.22, 14
3 0 4, 68.60, 11

Crystal structure
```
data_Cs3TlAs2O8
_cell_length_a 6.0198
_cell_length_b 6.0198
_cell_length_c 8.8727
_cell_angle_alpha 90.00
_cell_angle_beta 90.00
_cell_angle_gamma 120.00
_space_group_name_H-M_alt 'P -3 m 1'
_space_group_IT_number 164
_space_group_name_Hall '-P 3 2"'
loop_
_atom_site_label
_atom_site_fract_x
_atom_site_fract_y
_atom_site_fract_z
Cs1 0.0000 0.0000 0.0000
Cs2 0.3333 0.6667 0.7655
Tl1 0.0000 0.0000 0.5000
As1 0.3333 0.6667 0.2861
O1 0.1731 0.3462 0.3404
O2 0.3333 0.6667 0.0944
```

***

Question: Which formula does entry 8 have?
Answer: CsAsOs2O8